Theoretical powder diffractogram of Cs2CuGeI6 for copper Kα, from a cell relaxed with GGA-PBE.
Kinematic intensities with the Lorentz-polarization factor, no thermal factor.

Structural model:
```
data_Cs2CuGeI6
_cell_length_a 7.9731
_cell_length_b 7.9731
_cell_length_c 15.7143
_cell_angle_alpha 90.00
_cell_angle_beta 90.00
_cell_angle_gamma 120.00
_space_group_name_H-M_alt 'P 1'
_space_group_IT_number 1
loop_
_space_group_symop_operation_xyz
'x,y,z'
loop_
_atom_site_label
_atom_site_fract_x
_atom_site_fract_y
_atom_site_fract_z
Cs1 0.3333 0.6667 0.0848
Cs2 0.3333 0.6667 0.4152
Cs3 0.6667 0.3333 0.5848
Cs4 0.6667 0.3333 0.9152
Cu1 0.3333 0.6667 0.7500
Cu2 0.6667 0.3333 0.2500
Ge1 0.0000 0.0000 0.2500
Ge2 0.0000 0.0000 0.7500
I1 0.1713 0.3442 0.8712
I2 0.1713 0.8272 0.6288
I3 0.1728 0.3442 0.6288
I4 0.1728 0.8287 0.8712
I5 0.3442 0.1713 0.3712
I6 0.3442 0.1728 0.1288
I7 0.6558 0.8272 0.8712
I8 0.6558 0.8287 0.6288
I9 0.8272 0.1713 0.1288
I10 0.8272 0.6558 0.3712
I11 0.8287 0.1728 0.3712
I12 0.8287 0.6558 0.1288
```

Principal peaks in the range 10 to 90 degrees two-theta, low angle first:
(1 0 1), 2θ 14.0, d 6.322, intensity 18; (0 0 4), 2θ 22.6, d 3.929, intensity 41; (2 0 0), 2θ 25.8, d 3.452, intensity 34; (2 0 1), 2θ 26.4, d 3.372, intensity 82; (2 0 3), 2θ 31.0, d 2.883, intensity 100; (2 0 4), 2θ 34.6, d 2.593, intensity 34; (2 0 5), 2θ 38.7, d 2.324, intensity 23; (2 2 0), 2θ 45.5, d 1.993, intensity 44; (2 2 4), 2θ 51.4, d 1.778, intensity 25; (4 0 3), 2θ 56.1, d 1.639, intensity 18